Starting from the GGA+U geometry in Alexandria, the X-ray diffraction stick pattern of Mn2VFe3P6O24 was simulated for Cu Kα (weighted mean of Kα1 and Kα2).
Peak positions follow from Bragg's law for the DFT cell and can differ from measured ones.

```
data_Mn2VFe3P6O24
_chemical_formula_sum 'Mn6 V3 Fe9 P18 O72'
_cell_length_a 8.5992
_cell_length_b 8.5992
_cell_length_c 21.0884
_cell_angle_alpha 90.00
_cell_angle_beta 90.00
_cell_angle_gamma 120.00
_space_group_name_H-M_alt 'R 3'
_space_group_IT_number 146
_space_group_name_Hall 'R 3'
loop_
_atom_site_label
_atom_site_type_symbol
_atom_site_fract_x
_atom_site_fract_y
_atom_site_fract_z
Mn1 Mn 0.0000 0.0000 0.0000
Mn2 Mn 0.0000 0.0000 0.5000
V1 V 0.0000 0.0000 0.3535
Fe1 Fe 0.0000 0.0000 0.1426
Fe2 Fe 0.0000 0.0000 0.6425
Fe3 Fe 0.0000 0.0000 0.8537
P1 P 0.0005 0.2940 0.2481
P2 P 0.0438 0.6676 0.4136
O1 O 0.0001 0.1962 0.1884
O2 O 0.0072 0.1857 0.3079
O3 O 0.0155 0.8376 0.4158
O4 O 0.0289 0.1904 0.9238
O5 O 0.1403 0.6686 0.3533
O6 O 0.1431 0.6811 0.4752
O7 O 0.1654 0.6847 0.7434
O8 O 0.1684 0.4837 0.2452
```

Most intense lines, 2θ = 10–90°, by intensity:
- (2 -1 3), 3.668 Å, I = 100
- (1 1 0), 4.300 Å, I = 95
- (1 1 6), 2.721 Å, I = 77
- (3 0 0), 2.483 Å, I = 39
- (1 4 0), 1.625 Å, I = 39
- (1 2 8), 1.924 Å, I = 29
- (2 2 6), 1.834 Å, I = 29
- (0 1 14), 1.475 Å, I = 26
- (2 1 1), 2.790 Å, I = 16
- (2 0 2), 3.511 Å, I = 14